# 1
This entry pairs a crystal structure of MgCoO3 with its theoretical X-ray diffraction stick pattern. Radiation: Cu Kα. Structure: a PBE+U-relaxed structure.

Cell and atoms:
abc: 4.9259 4.9259 13.6169
angles: 90.00 90.00 120.00
Space group R-3 (No. 148, hexagonal axes)
Asymmetric unit:
Mg (0.0000, 0.0000, 0.1396) (multiplicity 6)
Co (0.0000, 0.0000, 0.3396) (multiplicity 6)
O (0.0166, 0.3806, 0.9231) (multiplicity 18)

Most intense lines, 2θ = 10–80°, most intense first:
Position (°2θ), Rel. int.
55.02, 100
33.68, 84
36.48, 84
24.63, 83
41.72, 75
19.56, 70
65.66, 46
50.49, 38
21.83, 35
63.88, 31



# 2
This entry pairs a crystal structure of VOF with its theoretical X-ray diffraction stick pattern. Radiation: Cu Kα. Structure: a PBE+U-relaxed structure.

Cell and atoms:
abc: 10.046 3.312 3.773
angles: 90.00 90.00 90.00
Space group Pnma (No. 62)
Asymmetric unit:
V (0.101, 0.250, 0.236) (multiplicity 4)
O (0.021, 0.250, 0.743) (multiplicity 4)
F (0.223, 0.750, 0.069) (multiplicity 4)

Most intense lines, 2θ = 10–80°, most intense first:
Position (°2θ), Rel. int.
29.61, 100
51.71, 77
32.38, 76
45.33, 41
59.29, 33
55.48, 24
64.15, 18
36.08, 17
48.23, 15
17.66, 15



# 3
This entry pairs a crystal structure of MgV4O6F6 with its theoretical X-ray diffraction stick pattern. Radiation: Cu Kα. Structure: a PBE+U-relaxed structure.

Cell and atoms:
abc: 5.239 5.411 9.189
angles: 83.98 84.94 61.78
Space group P1 (No. 1)
Asymmetric unit:
Mg (0.000, 0.000, 0.000) (multiplicity 1)
V (0.020, 0.147, 0.664) (multiplicity 1)
V (0.352, 0.398, 0.876) (multiplicity 1)
V (0.472, 0.483, 0.227) (multiplicity 1)
V (0.732, 0.840, 0.436) (multiplicity 1)
O (0.127, 0.222, 0.842) (multiplicity 1)
O (0.312, 0.605, 0.040) (multiplicity 1)
O (0.490, 0.193, 0.325) (multiplicity 1)
O (0.601, 0.660, 0.344) (multiplicity 1)
O (0.615, 0.354, 0.746) (multiplicity 1)
O (0.909, 0.019, 0.530) (multiplicity 1)
F (0.056, 0.791, 0.801) (multiplicity 1)
F (0.062, 0.758, 0.285) (multiplicity 1)
F (0.439, 0.939, 0.600) (multiplicity 1)
F (0.599, 0.059, 0.999) (multiplicity 1)
F (0.860, 0.303, 0.133) (multiplicity 1)
F (0.996, 0.485, 0.556) (multiplicity 1)

Most intense lines, 2θ = 10–80°, most intense first:
Position (°2θ), Rel. int.
21.97, 100
26.09, 92
21.68, 86
28.07, 60
20.86, 48
33.79, 34
19.56, 32
32.77, 23
22.84, 19
53.67, 19



# 4
This entry pairs a crystal structure of Mn2O3 with its theoretical X-ray diffraction stick pattern. Radiation: Cu Kα. Structure: a PBE+U-relaxed structure.

Cell and atoms:
abc: 5.115 5.204 5.398
angles: 67.83 61.78 60.68
Space group P-1 (No. 2)
Asymmetric unit:
Mn (0.151, 0.149, 0.047) (multiplicity 2)
Mn (0.347, 0.351, 0.452) (multiplicity 2)
O (0.022, 0.750, 0.251) (multiplicity 2)
O (0.257, 0.576, 0.730) (multiplicity 2)
O (0.438, 0.076, 0.229) (multiplicity 2)

Most intense lines, 2θ = 10–80°, most intense first:
Position (°2θ), Rel. int.
34.67, 100
33.57, 81
30.24, 74
23.00, 61
49.58, 48
46.99, 45
53.12, 45
35.09, 39
55.91, 33
61.89, 32



# 5
This entry pairs a crystal structure of MgCo4O8 with its theoretical X-ray diffraction stick pattern. Radiation: Cu Kα. Structure: a PBE+U-relaxed structure.

Cell and atoms:
abc: 13.284 2.851 8.979
angles: 90.00 130.86 90.00
Space group Cm (No. 8)
Asymmetric unit:
Mg (0.000, 0.000, 0.000) (multiplicity 2)
Co (0.008, 0.500, 0.650) (multiplicity 2)
Co (0.200, 0.000, 0.015) (multiplicity 2)
Co (0.213, 0.500, 0.379) (multiplicity 2)
Co (0.494, 0.500, 0.308) (multiplicity 2)
O (0.015, 0.500, 0.176) (multiplicity 2)
O (0.059, 0.500, 0.907) (multiplicity 2)
O (0.131, 0.000, 0.755) (multiplicity 2)
O (0.185, 0.000, 0.485) (multiplicity 2)
O (0.209, 0.000, 0.237) (multiplicity 2)
O (0.313, 0.500, 0.083) (multiplicity 2)
O (0.391, 0.500, 0.581) (multiplicity 2)
O (0.484, 0.000, 0.429) (multiplicity 2)

Most intense lines, 2θ = 10–80°, most intense first:
Position (°2θ), Rel. int.
19.78, 100
13.04, 84
13.42, 78
17.66, 76
35.75, 68
37.49, 66
37.77, 57
38.60, 56
30.94, 49
52.92, 47



# 6
This entry pairs a crystal structure of V2ZnO4 with its theoretical X-ray diffraction stick pattern. Radiation: Cu Kα. Structure: a PBE+U-relaxed structure.

Cell and atoms:
abc: 6.087 6.148 8.371
angles: 90.00 90.00 90.00
Space group Imma (No. 74)
Asymmetric unit:
V (0.000, 0.000, 0.000) (multiplicity 4)
V (0.250, 0.250, 0.250) (multiplicity 4)
Zn (0.000, 0.000, 0.500) (multiplicity 4)
O (0.000, 0.033, 0.246) (multiplicity 8)
O (0.245, 0.250, 0.005) (multiplicity 8)

Most intense lines, 2θ = 10–80°, most intense first:
Position (°2θ), Rel. int.
41.76, 100
17.90, 62
61.67, 53
43.23, 46
36.26, 33
36.50, 31
21.23, 28
60.87, 14
47.31, 14
60.21, 14



# 7
This entry pairs a crystal structure of Sr2Cu2NiS2O2 with its theoretical X-ray diffraction stick pattern. Radiation: Cu Kα. Structure: a PBE+U-relaxed structure.

Cell and atoms:
abc: 3.878 3.878 18.684
angles: 90.00 90.00 90.00
Space group I4/mmm (No. 139)
Asymmetric unit:
Sr (0.000, 0.000, 0.092) (multiplicity 4)
Cu (0.000, 0.500, 0.250) (multiplicity 4)
Ni (0.000, 0.000, 0.500) (multiplicity 2)
S (0.000, 0.000, 0.326) (multiplicity 4)
O (0.000, 0.500, 0.000) (multiplicity 4)

Most intense lines, 2θ = 10–80°, most intense first:
Position (°2θ), Rel. int.
33.29, 100
46.85, 53
38.05, 53
34.07, 50
58.68, 37
41.05, 25
59.90, 23
78.84, 18
68.42, 16
64.02, 13